1.
Calculated powder XRD pattern
Compound: Dy2Ho12Er5
Radiation: Cu Kα X-rays
Structure: DFT lattice parameters and positions (GGA-PBE)
No peak broadening, texture or thermal motion is included.

Structural model:
Cell lengths 6.4332, 8.7564, 11.3018 Å; angles 109.41, 92.92, 98.21 degrees
Sites, in units of the cell vectors:
Dy  0.2355  0.4432  0.4594
Dy  0.7645  0.5568  0.5406
Ho  0.0247  0.2016  0.1363
Ho  0.1684  0.8733  0.5765
Ho  0.2051  0.1692  0.8590
Ho  0.2772  0.5969  0.0411
Ho  0.4451  0.6565  0.7694
Ho  0.4692  0.2600  0.6303
Ho  0.5308  0.7400  0.3697
Ho  0.5549  0.3435  0.2306
Ho  0.7228  0.4031  0.9589
Ho  0.7949  0.8308  0.1410
Ho  0.8316  0.1267  0.4235
Ho  0.9753  0.7984  0.8637
Er  0.0119  0.3885  0.7179
Er  0.3027  0.0104  0.3002
Er  0.5000  0.0000  0.0000
Er  0.6973  0.9896  0.6998
Er  0.9881  0.6115  0.2821

The 8 most intense peaks (5° ≤ 2θ ≤ 70°), sorted by position:
2θ (°)	d (Å)	intensity
31.5	2.844	32
31.8	2.812	100
32.0	2.795	99
32.2	2.782	41
32.7	2.738	50
32.8	2.732	41
32.9	2.720	99
33.4	2.682	34

2.
Calculated powder XRD pattern
Compound: Dy5HoEr5
Radiation: Cu Kα X-rays
Structure: DFT lattice parameters and positions (GGA-PBE)
No peak broadening, texture or thermal motion is included.

Structural model:
Cell lengths 9.7853, 9.7853, 6.8773 Å; angles 110.44, 110.44, 34.82 degrees
Sites, in units of the cell vectors:
Dy  0.0000  0.0000  0.0000
Dy  0.3218  0.3218  0.0669
Dy  0.3218  0.3218  0.5759
Dy  0.6782  0.6782  0.4241
Dy  0.6782  0.6782  0.9331
Ho  0.5000  0.5000  0.0000
Er  0.1235  0.1235  0.6244
Er  0.1690  0.1690  0.1698
Er  0.5000  0.5000  0.5000
Er  0.8310  0.8310  0.8302
Er  0.8765  0.8765  0.3756

The 8 most intense peaks (5° ≤ 2θ ≤ 70°), sorted by position:
2θ (°)	d (Å)	intensity
27.9	3.197	24
28.7	3.109	18
29.9	2.989	20
30.5	2.927	77
30.9	2.896	34
34.0	2.639	100
44.0	2.059	26
56.5	1.629	24

3.
Calculated powder XRD pattern
Compound: Dy4Ho8Er3
Radiation: Cu Kα X-rays
Structure: DFT lattice parameters and positions (GGA-PBE)
No peak broadening, texture or thermal motion is included.

Structural model:
Cell lengths 12.2887, 12.2887, 12.2887 Å; angles 32.41, 32.41, 32.41 degrees
Sites, in units of the cell vectors:
Dy  0.0000  0.0000  0.0000
Dy  0.1636  0.1636  0.1636
Dy  0.5000  0.5000  0.5000
Dy  0.8364  0.8364  0.8364
Ho  0.2503  0.2503  0.7476
Ho  0.2503  0.7476  0.2503
Ho  0.2524  0.7497  0.7497
Ho  0.2550  0.2550  0.2550
Ho  0.7450  0.7450  0.7450
Ho  0.7476  0.2503  0.2503
Ho  0.7497  0.2524  0.7497
Ho  0.7497  0.7497  0.2524
Er  0.0000  0.5000  0.5000
Er  0.5000  0.0000  0.5000
Er  0.5000  0.5000  0.0000

The 8 most intense peaks (5° ≤ 2θ ≤ 70°), sorted by position:
2θ (°)	d (Å)	intensity
27.1	3.289	17
30.2	2.956	27
30.7	2.908	56
31.8	2.811	100
36.6	2.455	73
52.0	1.758	23
53.4	1.715	37
62.9	1.477	44

4.
Calculated powder XRD pattern
Compound: Dy7Ho3Er
Radiation: Cu Kα X-rays
Structure: DFT lattice parameters and positions (GGA-PBE)
No peak broadening, texture or thermal motion is included.

Structural model:
Cell lengths 6.9206, 5.4885, 9.8414 Å; angles 90.00, 110.52, 90.00 degrees
Sites, in units of the cell vectors:
Dy  0.0000  0.0000  0.0000
Dy  0.1457  0.5000  0.2911
Dy  0.3206  0.5000  0.6404
Dy  0.4155  0.0000  0.8301
Dy  0.5845  0.0000  0.1699
Dy  0.6794  0.5000  0.3596
Dy  0.8543  0.5000  0.7089
Ho  0.0000  0.0000  0.5000
Ho  0.2796  0.5000  0.9996
Ho  0.7204  0.5000  0.0004
Er  0.5000  0.0000  0.5000

The 8 most intense peaks (5° ≤ 2θ ≤ 70°), sorted by position:
2θ (°)	d (Å)	intensity
32.0	2.799	44
32.1	2.790	100
32.4	2.767	31
32.6	2.744	50
33.4	2.681	51
46.6	1.949	23
57.9	1.593	24
58.7	1.572	17

5.
Calculated powder XRD pattern
Compound: DyHo2Er4
Radiation: Cu Kα X-rays
Structure: DFT lattice parameters and positions (GGA-PBE)
No peak broadening, texture or thermal motion is included.

Structural model:
Cell lengths 6.1292, 3.5386, 19.7478 Å; angles 90.00, 90.00, 90.00 degrees
Sites, in units of the cell vectors:
Dy  0.0000  0.0000  0.0000
Dy  0.5000  0.5000  0.0000
Ho  0.9996  0.0000  0.5696
Ho  0.4988  0.5000  0.2851
Ho  0.4996  0.5000  0.5696
Ho  0.9988  0.0000  0.2851
Er  0.1661  0.5000  0.1424
Er  0.1669  0.5000  0.8561
Er  0.3324  0.0000  0.4278
Er  0.3336  0.0000  0.7129
Er  0.6661  0.0000  0.1424
Er  0.6669  0.0000  0.8561
Er  0.8324  0.5000  0.4278
Er  0.8336  0.5000  0.7129

The 8 most intense peaks (5° ≤ 2θ ≤ 70°), sorted by position:
2θ (°)	d (Å)	intensity
29.5	3.028	38
31.7	2.821	50
32.2	2.778	100
34.4	2.604	86
51.7	1.769	38
55.3	1.660	21
59.7	1.549	18
61.9	1.499	44

6.
Calculated powder XRD pattern
Compound: Dy6Ho2Er3
Radiation: Cu Kα X-rays
Structure: DFT lattice parameters and positions (GGA-PBE)
No peak broadening, texture or thermal motion is included.

Structural model:
Cell lengths 31.6006, 31.6006, 31.6006 Å; angles 6.39, 6.39, 6.39 degrees
Sites, in units of the cell vectors:
Dy  0.0907  0.0907  0.0907
Dy  0.1819  0.1819  0.1819
Dy  0.3636  0.3636  0.3636
Dy  0.6364  0.6364  0.6364
Dy  0.8181  0.8181  0.8181
Dy  0.9093  0.9093  0.9093
Ho  0.4544  0.4544  0.4544
Ho  0.5456  0.5456  0.5456
Er  0.0000  0.0000  0.0000
Er  0.2729  0.2729  0.2729
Er  0.7271  0.7271  0.7271

The 8 most intense peaks (5° ≤ 2θ ≤ 70°), sorted by position:
2θ (°)	d (Å)	intensity
31.1	2.873	100
36.1	2.488	51
51.9	1.761	18
52.0	1.757	18
61.8	1.501	32
61.9	1.498	11
64.9	1.438	9
65.1	1.433	3

7.
Calculated powder XRD pattern
Compound: DyHo5Er5
Radiation: Cu Kα X-rays
Structure: DFT lattice parameters and positions (GGA-PBE)
No peak broadening, texture or thermal motion is included.

Structural model:
Cell lengths 6.7593, 6.8829, 8.2121 Å; angles 76.21, 76.82, 72.59 degrees
Sites, in units of the cell vectors:
Dy  0.0000  0.0000  0.0000
Ho  0.0000  0.5000  0.0000
Ho  0.1573  0.6309  0.3585
Ho  0.3264  0.7666  0.6539
Ho  0.6736  0.2334  0.3461
Ho  0.8427  0.3691  0.6415
Er  0.2083  0.1382  0.3141
Er  0.3521  0.2479  0.7203
Er  0.5000  0.5000  0.0000
Er  0.6479  0.7521  0.2797
Er  0.7917  0.8618  0.6859

The 8 most intense peaks (5° ≤ 2θ ≤ 70°), sorted by position:
2θ (°)	d (Å)	intensity
31.8	2.811	57
32.1	2.787	100
32.5	2.754	70
32.6	2.745	96
33.1	2.705	74
34.2	2.619	88
49.2	1.852	23
59.3	1.558	28

8.
Calculated powder XRD pattern
Compound: Dy2Ho2Er2In
Radiation: Cu Kα X-rays
Structure: DFT lattice parameters and positions (GGA-PBE)
No peak broadening, texture or thermal motion is included.

Structural model:
Cell lengths 3.5346, 3.5346, 33.4014 Å; angles 90.00, 90.00, 90.00 degrees
Sites, in units of the cell vectors:
Dy  0.0000  0.0000  0.2127
Dy  0.0000  0.0000  0.7873
Dy  0.5000  0.5000  0.2873
Dy  0.5000  0.5000  0.7127
Ho  0.0000  0.0000  0.0640
Ho  0.0000  0.0000  0.9360
Ho  0.5000  0.5000  0.4360
Ho  0.5000  0.5000  0.5640
Er  0.0000  0.0000  0.3618
Er  0.0000  0.0000  0.6382
Er  0.5000  0.5000  0.1382
Er  0.5000  0.5000  0.8618
In  0.0000  0.0000  0.5000
In  0.5000  0.5000  0.0000

The 8 most intense peaks (5° ≤ 2θ ≤ 70°), sorted by position:
2θ (°)	d (Å)	intensity
31.5	2.840	100
35.9	2.499	37
37.7	2.386	13
51.7	1.767	13
53.1	1.726	20
61.8	1.501	29
64.2	1.450	9
65.8	1.420	10

9.
Calculated powder XRD pattern
Compound: Dy2HoEr2In
Radiation: Cu Kα X-rays
Structure: DFT lattice parameters and positions (GGA-PBE)
No peak broadening, texture or thermal motion is included.

Structural model:
Cell lengths 6.6217, 9.8680, 5.3243 Å; angles 90.00, 90.00, 90.00 degrees
Sites, in units of the cell vectors:
Dy  0.2421  0.1637  0.0000
Dy  0.2579  0.6637  0.5000
Dy  0.7421  0.3363  0.5000
Dy  0.7579  0.8363  0.0000
Ho  0.0000  0.5000  0.0000
Ho  0.5000  0.0000  0.5000
Er  0.2440  0.8374  0.0000
Er  0.2560  0.3374  0.5000
Er  0.7440  0.6626  0.5000
Er  0.7560  0.1626  0.0000
In  0.0000  0.0000  0.5000
In  0.5000  0.5000  0.0000

The 8 most intense peaks (5° ≤ 2θ ≤ 70°), sorted by position:
2θ (°)	d (Å)	intensity
32.0	2.798	100
32.6	2.749	37
33.1	2.704	80
33.7	2.662	44
45.9	1.978	19
47.5	1.912	26
58.1	1.588	18
65.5	1.425	25

10.
Calculated powder XRD pattern
Compound: La2DyHoEr2
Radiation: Cu Kα X-rays
Structure: DFT lattice parameters and positions (GGA-PBE)
No peak broadening, texture or thermal motion is included.

Structural model:
Cell lengths 7.0665, 5.6839, 9.8406 Å; angles 90.00, 90.00, 90.00 degrees
Sites, in units of the cell vectors:
La  0.0000  0.0000  0.0000
La  0.2500  0.5000  0.1782
La  0.5000  0.0000  0.0000
La  0.7500  0.5000  0.8218
Dy  0.2500  0.0000  0.6591
Dy  0.7500  0.0000  0.3409
Ho  0.0000  0.5000  0.5000
Ho  0.5000  0.5000  0.5000
Er  0.2500  0.0000  0.3354
Er  0.2500  0.5000  0.8333
Er  0.7500  0.0000  0.6646
Er  0.7500  0.5000  0.1667

The 8 most intense peaks (5° ≤ 2θ ≤ 70°), sorted by position:
2θ (°)	d (Å)	intensity
31.2	2.870	90
31.5	2.841	100
40.8	2.214	12
44.9	2.019	33
55.9	1.646	34
56.1	1.640	19
61.8	1.500	29
65.7	1.421	12

11.
Calculated powder XRD pattern
Compound: La5Dy2HoEr
Radiation: Cu Kα X-rays
Structure: DFT lattice parameters and positions (GGA-PBE)
No peak broadening, texture or thermal motion is included.

Structural model:
Cell lengths 11.4023, 11.4023, 11.4023 Å; angles 138.48, 138.48, 60.16 degrees
Sites, in units of the cell vectors:
La  0.0000  0.0000  0.0000
La  0.0769  0.5769  0.9235
La  0.1534  0.0769  0.5000
La  0.3466  0.8466  0.9235
La  0.4231  0.3466  0.5000
La  0.5000  0.5000  0.0000
La  0.5769  0.6534  0.5000
La  0.6534  0.1534  0.0765
La  0.8466  0.9231  0.5000
La  0.9231  0.4231  0.0765
Dy  0.1288  0.3712  0.5000
Dy  0.3712  0.8712  0.2425
Dy  0.6288  0.1288  0.7575
Dy  0.8712  0.6288  0.5000
Ho  0.2500  0.2500  0.0000
Ho  0.7500  0.7500  0.0000
Er  0.2500  0.7500  0.5000
Er  0.7500  0.2500  0.5000

The 8 most intense peaks (5° ≤ 2θ ≤ 70°), sorted by position:
2θ (°)	d (Å)	intensity
28.2	3.168	46
28.6	3.126	100
31.3	2.858	37
33.6	2.666	18
35.1	2.553	20
36.4	2.467	25
48.8	1.867	20
54.0	1.697	22

12.
Calculated powder XRD pattern
Compound: LaDy6HoEr2
Radiation: Cu Kα X-rays
Structure: DFT lattice parameters and positions (GGA-PBE)
No peak broadening, texture or thermal motion is included.

Structural model:
Cell lengths 8.7942, 8.7942, 9.4043 Å; angles 92.67, 92.67, 116.78 degrees
Sites, in units of the cell vectors:
La  0.0344  0.9656  0.7500
La  0.9656  0.0344  0.2500
Dy  0.0101  0.5553  0.6809
Dy  0.1209  0.7569  0.0579
Dy  0.2431  0.8791  0.4421
Dy  0.2913  0.5180  0.8863
Dy  0.4447  0.9899  0.8191
Dy  0.4820  0.7087  0.6137
Dy  0.5180  0.2913  0.3863
Dy  0.5553  0.0101  0.1809
Dy  0.7087  0.4820  0.1137
Dy  0.7569  0.1209  0.5579
Dy  0.8791  0.2431  0.9421
Dy  0.9899  0.4447  0.3191
Ho  0.4115  0.5885  0.2500
Ho  0.5885  0.4115  0.7500
Er  0.2021  0.3064  0.5521
Er  0.3064  0.2021  0.0521
Er  0.6936  0.7979  0.9479
Er  0.7979  0.6936  0.4479

The 8 most intense peaks (5° ≤ 2θ ≤ 70°), sorted by position:
2θ (°)	d (Å)	intensity
28.5	3.136	56
30.5	2.931	81
30.9	2.898	100
31.0	2.882	69
31.4	2.848	50
31.8	2.817	50
32.6	2.746	31
34.5	2.596	54

> Number 7 is which compound?

DyHo5Er5